Structure and calculated X-ray powder pattern of TmPdRh (a GGA-PBE-relaxed structure; Cu Ka).
No peak broadening, texture or thermal motion is included.

Principal peaks in the range 10 to 90 degrees two-theta, by intensity:
2θ (°)  intensity
34.9  100
41.3  60
55.2  27
68.6  26
71.2  25
52.2  10

Cell and atoms:
```
TmPdRh
1.0
4.3684 0.0000 0.0000
-2.1842 3.7832 0.0000
0.0000 0.0000 3.5078
Tm Pd Rh
1 1 1
direct
0.0000 0.0000 0.0000 Tm
0.3333 0.6667 0.5000 Pd
0.6667 0.3333 0.5000 Rh
```

***

Structure and calculated X-ray powder pattern of Cs2AsRuF6 (a GGA-PBE-relaxed structure; Cu Ka).
No peak broadening, texture or thermal motion is included.

Principal peaks in the range 10 to 90 degrees two-theta, by intensity:
2θ (°)  intensity
26.5  100
30.2  33
51.4  32
31.8  24
43.2  24
71.1  21

Cell and atoms:
```
Cs2AsRuF6
1.0
-2.9630 2.9630 5.6232
2.9630 -2.9630 5.6232
2.9630 2.9630 -5.6232
Cs As Ru F
2 1 1 6
direct
0.2500 0.7500 0.5000 Cs
0.7500 0.2500 0.5000 Cs
0.0000 0.0000 0.0000 As
0.5000 0.5000 0.0000 Ru
0.2505 0.2505 0.5010 F
0.2505 0.7495 0.0000 F
0.3177 0.3177 0.0000 F
0.6823 0.6823 0.0000 F
0.7495 0.2505 0.0000 F
0.7495 0.7495 0.4990 F
```

***

Structure and calculated X-ray powder pattern of Pm2PaMn2N6 (a GGA-PBE-relaxed structure; Cu Ka).
No peak broadening, texture or thermal motion is included.

Principal peaks in the range 10 to 90 degrees two-theta, by intensity:
2θ (°)  intensity
31.5  100
31.8  96
45.4  41
18.9  40
56.5  39
27.4  26

Cell and atoms:
```
Pm2PaMn2N6
1.0
2.8148 1.6251 5.8167
-2.8148 1.6251 5.8167
0.0000 -3.2502 5.8167
Pm Pa Mn N
2 1 2 6
direct
0.2086 0.2086 0.2086 Pm
0.7914 0.7914 0.7914 Pm
0.0000 0.0000 0.0000 Pa
0.4038 0.4038 0.4038 Mn
0.5962 0.5962 0.5962 Mn
0.2302 0.7437 0.7437 N
0.2563 0.2563 0.7698 N
0.2563 0.7698 0.2563 N
0.7437 0.2302 0.7437 N
0.7437 0.7437 0.2302 N
0.7698 0.2563 0.2563 N
```

***

Structure and calculated X-ray powder pattern of PtPb (a GGA-PBE-relaxed structure; Cu Ka).
No peak broadening, texture or thermal motion is included.

Principal peaks in the range 10 to 90 degrees two-theta, by intensity:
2θ (°)  intensity
31.6  100
35.5  55
45.4  54
48.3  33
68.4  30
77.3  27

Cell and atoms:
```
PtPb
1.0
5.6552 0.0000 0.0000
0.0000 5.6552 0.0000
0.0000 0.0000 5.6552
Pt Pb
4 4
direct
0.0447 0.0447 0.0447 Pt
0.4553 0.9553 0.5447 Pt
0.5447 0.4553 0.9553 Pt
0.9553 0.5447 0.4553 Pt
0.0450 0.5450 0.9550 Pb
0.4550 0.4550 0.4550 Pb
0.5450 0.9550 0.0450 Pb
0.9550 0.0450 0.5450 Pb
```

***

Structure and calculated X-ray powder pattern of HoThPb2 (a GGA-PBE-relaxed structure; Cu Ka).
No peak broadening, texture or thermal motion is included.

Principal peaks in the range 10 to 90 degrees two-theta, by intensity:
2θ (°)  intensity
31.8  100
35.5  38
61.5  32
54.2  23
39.6  14
51.1  14

Cell and atoms:
```
HoThPb2
1.0
5.0566 0.0000 0.0000
0.0000 5.0566 0.0000
0.0000 0.0000 4.5491
Ho Th Pb
1 1 2
direct
0.0000 0.0000 0.0000 Ho
0.5000 0.5000 0.0000 Th
0.0000 0.5000 0.5000 Pb
0.5000 0.0000 0.5000 Pb
```

***

Structure and calculated X-ray powder pattern of CeNdSn (a GGA-PBE-relaxed structure; Cu Ka).
No peak broadening, texture or thermal motion is included.

Principal peaks in the range 10 to 90 degrees two-theta, by intensity:
2θ (°)  intensity
34.3  100
32.7  60
59.4  42
46.9  22
62.5  15
23.2  11

Cell and atoms:
```
CeNdSn
1.0
-1.9380 1.9380 12.3894
1.9380 -1.9380 12.3894
1.9380 1.9380 -12.3894
Ce Nd Sn
2 2 2
direct
0.2220 0.2220 0.0000 Ce
0.7780 0.7780 0.0000 Ce
0.0731 0.0731 0.0000 Nd
0.9269 0.9269 0.0000 Nd
0.3532 0.3532 0.0000 Sn
0.6468 0.6468 0.0000 Sn
```

***

Structure and calculated X-ray powder pattern of Mg2Cd8Au (a GGA-PBE-relaxed structure; Cu Ka).
No peak broadening, texture or thermal motion is included.

Principal peaks in the range 10 to 90 degrees two-theta, by intensity:
2θ (°)  intensity
37.3  100
18.6  77
36.3  57
36.6  40
37.2  39
37.7  33

Cell and atoms:
```
Mg2Cd8Au
1.0
5.7248 -4.9461 0.0000
5.7248 4.9461 0.0000
-1.5394 0.0000 4.7644
Mg Cd Au
2 8 1
direct
0.1368 0.1368 0.0517 Mg
0.8632 0.8632 0.9483 Mg
0.1408 0.6447 0.6066 Cd
0.2724 0.2724 0.6436 Cd
0.3553 0.8592 0.3934 Cd
0.4201 0.4201 0.2086 Cd
0.5799 0.5799 0.7914 Cd
0.6447 0.1408 0.6066 Cd
0.7276 0.7276 0.3564 Cd
0.8592 0.3553 0.3934 Cd
0.0000 0.0000 0.5000 Au
```

***

Structure and calculated X-ray powder pattern of Ho2Os3Ru (a GGA-PBE-relaxed structure; Cu Ka).
No peak broadening, texture or thermal motion is included.

Principal peaks in the range 10 to 90 degrees two-theta, by intensity:
2θ (°)  intensity
39.7  100
40.0  87
41.7  72
39.0  54
33.2  51
69.7  35

Cell and atoms:
```
Ho2Os3Ru
1.0
2.6423 1.5255 4.4536
-2.6423 1.5255 4.4536
0.0000 -3.0510 4.4536
Ho Os Ru
2 3 1
direct
0.1242 0.1242 0.1242 Ho
0.8758 0.8758 0.8758 Ho
0.0000 0.5000 0.5000 Os
0.5000 0.0000 0.5000 Os
0.5000 0.5000 0.0000 Os
0.5000 0.5000 0.5000 Ru
```

***

Structure and calculated X-ray powder pattern of CdIn2Se3 (a GGA-PBE-relaxed structure; Cu Ka).
No peak broadening, texture or thermal motion is included.

Principal peaks in the range 10 to 90 degrees two-theta, by intensity:
2θ (°)  intensity
30.5  100
43.8  55
30.5  50
43.5  36
54.4  19
43.3  18

Cell and atoms:
```
CdIn2Se3
1.0
7.1583 0.0000 0.0000
0.0000 4.1265 0.0000
-0.0364 0.0000 10.2571
Cd In Se
2 4 6
direct
0.0828 0.2500 0.1662 Cd
0.9172 0.7500 0.8338 Cd
0.2472 0.7500 0.5007 In
0.4155 0.2500 0.8345 In
0.5845 0.7500 0.1655 In
0.7528 0.2500 0.4993 In
0.0848 0.2500 0.6846 Se
0.2522 0.7500 0.9999 Se
0.4186 0.2500 0.3151 Se
0.5814 0.7500 0.6849 Se
0.7478 0.2500 0.0001 Se
0.9152 0.7500 0.3154 Se
```

***

Structure and calculated X-ray powder pattern of K2MgCl3F (a GGA-PBE-relaxed structure; Cu Ka).
No peak broadening, texture or thermal motion is included.

Principal peaks in the range 10 to 90 degrees two-theta, by intensity:
2θ (°)  intensity
36.0  100
28.4  71
32.7  71
35.2  69
30.4  54
48.9  39

Cell and atoms:
```
K2MgCl3F
1.0
-1.9989 2.5464 8.2113
1.9989 -2.5464 8.2113
1.9989 2.5464 -8.2113
K Mg Cl F
2 1 3 1
direct
0.1483 0.1483 0.0000 K
0.8517 0.8517 0.0000 K
0.5000 0.5000 0.0000 Mg
0.0000 0.5000 0.5000 Cl
0.3419 0.3419 0.0000 Cl
0.6581 0.6581 0.0000 Cl
0.5000 0.0000 0.5000 F
```

***

Structure and calculated X-ray powder pattern of GaGeAs (a GGA-PBE-relaxed structure; Cu Ka).
No peak broadening, texture or thermal motion is included.

Principal peaks in the range 10 to 90 degrees two-theta, by intensity:
2θ (°)  intensity
30.8  100
41.8  79
28.9  64
34.8  49
50.8  48
22.4  42

Cell and atoms:
```
GaGeAs
1.0
1.8507 -7.9266 0.0000
1.8507 7.9266 0.0000
0.0000 0.0000 4.9132
Ga Ge As
2 2 2
direct
0.1748 0.8252 0.5000 Ga
0.8252 0.1748 0.0000 Ga
0.3329 0.6671 0.3948 Ge
0.6671 0.3329 0.8948 Ge
0.0793 0.9207 0.0938 As
0.9207 0.0793 0.5938 As
```

***

Structure and calculated X-ray powder pattern of AcThSe3 (a GGA-PBE-relaxed structure; Cu Ka).
No peak broadening, texture or thermal motion is included.

Principal peaks in the range 10 to 90 degrees two-theta, by intensity:
2θ (°)  intensity
24.0  100
32.4  60
35.6  55
41.7  37
33.7  32
31.7  32

Cell and atoms:
```
AcThSe3
1.0
7.9279 0.0000 0.0000
0.0000 4.3292 0.0000
0.0000 0.0000 16.8254
Ac Th Se
4 4 12
direct
0.1204 0.2500 0.1988 Ac
0.3796 0.7500 0.6988 Ac
0.6204 0.2500 0.3012 Ac
0.8796 0.7500 0.8012 Ac
0.2431 0.7500 0.4569 Th
0.2569 0.2500 0.9569 Th
0.7431 0.7500 0.0431 Th
0.7569 0.2500 0.5431 Th
0.0078 0.2500 0.4007 Se
0.1307 0.7500 0.0636 Se
0.1662 0.2500 0.7844 Se
0.3338 0.7500 0.2844 Se
0.3693 0.2500 0.5636 Se
0.4922 0.7500 0.9007 Se
0.5078 0.2500 0.0993 Se
0.6307 0.7500 0.4364 Se
0.6662 0.2500 0.7156 Se
0.8338 0.7500 0.2156 Se
0.8693 0.2500 0.9364 Se
0.9922 0.7500 0.5993 Se
```

***

Structure and calculated X-ray powder pattern of Ni4Pt3 (a GGA-PBE-relaxed structure; Cu Ka).
No peak broadening, texture or thermal motion is included.

Principal peaks in the range 10 to 90 degrees two-theta, by intensity:
2θ (°)  intensity
41.8  100
48.6  64
41.6  33
86.0  27
20.0  24
71.3  22

Cell and atoms:
```
Ni4Pt3
1.0
3.5012 2.0214 2.1729
-3.5012 2.0214 2.1729
0.0000 -4.0429 2.1729
Ni Pt
4 3
direct
0.0000 0.0000 0.0000 Ni
0.1385 0.2787 0.5568 Ni
0.2787 0.5568 0.1385 Ni
0.5568 0.1385 0.2787 Ni
0.4137 0.8490 0.7181 Pt
0.7181 0.4137 0.8490 Pt
0.8490 0.7181 0.4137 Pt
```

***

Structure and calculated X-ray powder pattern of Sm8Dy6Tm (a GGA-PBE-relaxed structure; Cu Ka).
No peak broadening, texture or thermal motion is included.

Principal peaks in the range 10 to 90 degrees two-theta, by intensity:
2θ (°)  intensity
31.3  100
32.3  30
30.3  24
36.6  14
34.8  12
52.8  12

Cell and atoms:
```
Sm8Dy6Tm
1.0
4.5454 2.6243 6.9206
-4.5454 2.6243 6.9206
0.0000 -5.2486 6.9206
Sm Dy Tm
8 6 1
direct
0.0775 0.0775 0.0775 Sm
0.2186 0.2493 0.6118 Sm
0.2493 0.6118 0.2186 Sm
0.3882 0.7814 0.7507 Sm
0.6118 0.2186 0.2493 Sm
0.7507 0.3882 0.7814 Sm
0.7814 0.7507 0.3882 Sm
0.9225 0.9225 0.9225 Sm
0.0400 0.7420 0.5991 Dy
0.2580 0.4009 0.9600 Dy
0.4009 0.9600 0.2580 Dy
0.5991 0.0400 0.7420 Dy
0.7420 0.5991 0.0400 Dy
0.9600 0.2580 0.4009 Dy
0.5000 0.5000 0.5000 Tm
```